No. 1
Simulated XRD peak list of MgTaIn2N4 for Cu Ka, from DFT lattice parameters and positions (GGA-PBE).
Lines closer than 0.1° are merged.

The 10 most intense peaks (10° ≤ 2θ ≤ 80°), in order of falling intensity:
2θ = 31.2°, d 2.866, rel. 100
2θ = 20.0°, d 4.433, rel. 37
2θ = 52.0°, d 1.759, rel. 28
2θ = 62.2°, d 1.492, rel. 27
2θ = 36.4°, d 2.471, rel. 25
2θ = 61.5°, d 1.507, rel. 14
2θ = 52.4°, d 1.747, rel. 14
2θ = 35.8°, d 2.505, rel. 13
2θ = 32.3°, d 2.768, rel. 10
2θ = 41.9°, d 2.158, rel. 10

Cell and atoms:
Cell lengths 6.109, 6.109, 6.109 Å; angles 132.28, 132.28, 69.78 degrees
Fractional positions:
Mg  0.000  0.000  0.000
Ta  0.500  0.500  0.000
In  0.250  0.750  0.500
In  0.750  0.250  0.500
N  0.155  0.155  0.534
N  0.379  0.845  0.000
N  0.621  0.621  0.466
N  0.845  0.379  0.000



No. 2
Simulated XRD peak list of Ac6Ni4Pb for Cu Ka, from DFT lattice parameters and positions (GGA-PBE).
Lines closer than 0.1° are merged.

The 10 most intense peaks (10° ≤ 2θ ≤ 80°), in order of falling intensity:
2θ = 28.9°, d 3.093, rel. 100
2θ = 27.3°, d 3.265, rel. 90
2θ = 26.9°, d 3.320, rel. 60
2θ = 42.9°, d 2.107, rel. 50
2θ = 41.0°, d 2.199, rel. 46
2θ = 30.3°, d 2.950, rel. 44
2θ = 50.4°, d 1.810, rel. 37
2θ = 41.5°, d 2.176, rel. 36
2θ = 28.0°, d 3.189, rel. 36
2θ = 50.2°, d 1.816, rel. 24

Cell and atoms:
Cell lengths 7.517, 7.517, 21.986 Å; angles 90.00, 90.00, 146.35 degrees
Fractional positions:
Ac  0.000  0.000  0.000
Ac  0.000  0.000  0.500
Ac  0.159  0.841  0.750
Ac  0.267  0.733  0.084
Ac  0.267  0.733  0.416
Ac  0.465  0.535  0.652
Ac  0.465  0.535  0.848
Ac  0.535  0.465  0.152
Ac  0.535  0.465  0.348
Ac  0.733  0.267  0.584
Ac  0.733  0.267  0.916
Ac  0.841  0.159  0.250
Ni  0.099  0.901  0.621
Ni  0.099  0.901  0.879
Ni  0.364  0.636  0.539
Ni  0.364  0.636  0.961
Ni  0.636  0.364  0.039
Ni  0.636  0.364  0.461
Ni  0.901  0.099  0.121
Ni  0.901  0.099  0.379
Pb  0.156  0.844  0.250
Pb  0.844  0.156  0.750



No. 3
Simulated XRD peak list of RbPaCu2Cl8 for Cu Ka, from DFT lattice parameters and positions (GGA-PBE).
Lines closer than 0.1° are merged.

The 10 most intense peaks (10° ≤ 2θ ≤ 80°), in order of falling intensity:
2θ = 19.5°, d 4.543, rel. 100
2θ = 28.7°, d 3.112, rel. 39
2θ = 43.3°, d 2.087, rel. 37
2θ = 26.8°, d 3.324, rel. 30
2θ = 35.0°, d 2.567, rel. 22
2θ = 45.8°, d 1.980, rel. 21
2θ = 16.7°, d 5.322, rel. 21
2θ = 50.8°, d 1.796, rel. 20
2θ = 32.9°, d 2.723, rel. 18
2θ = 21.1°, d 4.213, rel. 15

Cell and atoms:
Cell lengths 11.819, 11.819, 11.819 Å; angles 30.53, 30.53, 30.53 degrees
Fractional positions:
Rb  0.000  0.000  0.000
Pa  0.500  0.500  0.500
Cu  0.247  0.247  0.247
Cu  0.753  0.753  0.753
Cl  0.130  0.450  0.771
Cl  0.229  0.550  0.870
Cl  0.312  0.312  0.312
Cl  0.450  0.771  0.130
Cl  0.550  0.870  0.229
Cl  0.688  0.688  0.688
Cl  0.771  0.130  0.450
Cl  0.870  0.229  0.550



No. 4
Simulated XRD peak list of SrThNiN2 for Cu Ka, from DFT lattice parameters and positions (GGA-PBE).
Lines closer than 0.1° are merged.

The 10 most intense peaks (10° ≤ 2θ ≤ 80°), in order of falling intensity:
2θ = 35.2°, d 2.551, rel. 100
2θ = 23.9°, d 3.730, rel. 58
2θ = 16.9°, d 5.247, rel. 45
2θ = 33.8°, d 2.652, rel. 24
2θ = 34.2°, d 2.624, rel. 24
2θ = 48.8°, d 1.865, rel. 22
2θ = 61.4°, d 1.511, rel. 20
2θ = 61.8°, d 1.500, rel. 20
2θ = 30.6°, d 2.920, rel. 19
2θ = 25.5°, d 3.497, rel. 19

Cell and atoms:
Cell lengths 5.247, 5.304, 6.994 Å; angles 90.00, 90.00, 90.00 degrees
Fractional positions:
Sr  0.000  0.000  0.250
Sr  0.000  0.000  0.750
Th  0.500  0.500  0.250
Th  0.500  0.500  0.750
Ni  0.500  0.000  0.000
Ni  0.500  0.000  0.500
N  0.284  0.284  0.000
N  0.284  0.716  0.500
N  0.716  0.284  0.500
N  0.716  0.716  0.000